No. 1
Diffraction record for PmHo2Zn2Ga2. The XRD peak list is calculated, not measured: it uses a PBE-relaxed structure and Cu Kα, 1.54184 Å.
Neutral-atom scattering factors, no anomalous dispersion.

Crystal structure
Cell lengths 4.4627, 4.4627, 27.6117 Å; angles 90.00, 90.00, 120.00 degrees
Space group R-3m (No. 166, hexagonal axes)
Unique sites:
Pm (0.0000, 0.0000, 0.0000) (multiplicity 3)
Ho (0.0000, 0.0000, 0.1279) (multiplicity 6)
Zn (0.0000, 0.0000, 0.4027) (multiplicity 6)
Ga (0.0000, 0.0000, 0.2588) (multiplicity 6)

Top 12 peaks for 2θ = 10–90°, sorted by position:
d = 3.827 Å, rel. 43.5
d = 2.761 Å, rel. 83.5
d = 2.574 Å, rel. 100.0
d = 2.231 Å, rel. 98.2
d = 1.841 Å, rel. 14.3
d = 1.735 Å, rel. 21.0
d = 1.686 Å, rel. 27.8
d = 1.420 Å, rel. 36.1
d = 1.370 Å, rel. 19.0
d = 1.345 Å, rel. 26.0
d = 1.288 Å, rel. 21.6
d = 1.115 Å, rel. 17.5

No. 2
Diffraction record for Bi2RhPb6. The XRD peak list is calculated, not measured: it uses a PBE-relaxed structure and Cu Kα, 1.54184 Å.
Neutral-atom scattering factors, no anomalous dispersion.

Crystal structure
Cell lengths 4.1596, 14.8906, 8.5823 Å; angles 90.00, 90.00, 90.00 degrees
Space group Amm2 (No. 38)
Unique sites:
Bi (0.0000, 0.1669, 0.0000) (multiplicity 4)
Rh (0.5000, 0.0000, 0.5002) (multiplicity 2)
Pb (0.0000, 0.0000, 0.7366) (multiplicity 2)
Pb (0.0000, 0.1179, 0.3819) (multiplicity 4)
Pb (0.5000, 0.0000, 0.1358) (multiplicity 2)
Pb (0.5000, 0.1818, 0.6820) (multiplicity 4)

Top 12 peaks for 2θ = 10–90°, sorted by position:
d = 2.988 Å, rel. 100.0
d = 2.812 Å, rel. 40.7
d = 2.773 Å, rel. 36.8
d = 2.480 Å, rel. 42.5
d = 2.329 Å, rel. 40.8
d = 2.080 Å, rel. 19.3
d = 1.672 Å, rel. 18.1
d = 1.623 Å, rel. 9.3
d = 1.593 Å, rel. 22.5
d = 1.579 Å, rel. 18.2
d = 1.512 Å, rel. 23.8
d = 1.319 Å, rel. 12.5

No. 3
Diffraction record for OF3. The XRD peak list is calculated, not measured: it uses a PBE-relaxed structure and Cu Kα, 1.54184 Å.
Neutral-atom scattering factors, no anomalous dispersion.

Crystal structure
Cell lengths 5.8805, 8.9889, 4.6161 Å; angles 90.00, 90.00, 90.00 degrees
Space group Cmcm (No. 63)
Unique sites:
O (0.0000, 0.1471, 0.2500) (multiplicity 4)
F (0.0000, 0.3021, 0.2500) (multiplicity 4)
F (0.2200, 0.3944, 0.7500) (multiplicity 8)

Top 12 peaks for 2θ = 10–90°, sorted by position:
d = 3.367 Å, rel. 96.0
d = 3.220 Å, rel. 100.0
d = 2.460 Å, rel. 20.4
d = 2.308 Å, rel. 61.0
d = 2.247 Å, rel. 16.9
d = 2.171 Å, rel. 31.8
d = 2.021 Å, rel. 10.1
d = 1.769 Å, rel. 28.1
d = 1.683 Å, rel. 9.6
d = 1.610 Å, rel. 11.4
d = 1.469 Å, rel. 11.2
d = 1.425 Å, rel. 9.4

No. 4
Diffraction record for Er5Cd2Pb. The XRD peak list is calculated, not measured: it uses a PBE-relaxed structure and Cu Kα, 1.54184 Å.
Neutral-atom scattering factors, no anomalous dispersion.

Crystal structure
Cell lengths 8.2602, 8.2602, 13.0257 Å; angles 90.00, 90.00, 90.00 degrees
Space group I4/mcm (No. 140)
Unique sites:
Er (0.0000, 0.0000, 0.0000) (multiplicity 4)
Er (0.1536, 0.3464, 0.1510) (multiplicity 16)
Cd (0.1378, 0.3622, 0.5000) (multiplicity 8)
Pb (0.0000, 0.0000, 0.2500) (multiplicity 4)

Top 12 peaks for 2θ = 10–90°, sorted by position:
d = 2.920 Å, rel. 13.3
d = 2.844 Å, rel. 23.2
d = 2.814 Å, rel. 100.0
d = 2.612 Å, rel. 69.8
d = 2.557 Å, rel. 23.7
d = 2.172 Å, rel. 12.9
d = 1.847 Å, rel. 11.5
d = 1.819 Å, rel. 10.2
d = 1.671 Å, rel. 19.5
d = 1.450 Å, rel. 14.5
d = 1.446 Å, rel. 19.1
d = 1.382 Å, rel. 9.2

No. 5
Diffraction record for Ba3SrBi. The XRD peak list is calculated, not measured: it uses a PBE-relaxed structure and Cu Kα, 1.54184 Å.
Neutral-atom scattering factors, no anomalous dispersion.

Crystal structure
Cell lengths 6.8757, 6.8757, 6.8757 Å; angles 90.00, 90.00, 90.00 degrees
Space group Pm-3m (No. 221)
Unique sites:
Ba (0.0000, 0.0000, 0.5000) (multiplicity 3)
Sr (0.5000, 0.5000, 0.5000) (multiplicity 1)
Bi (0.0000, 0.0000, 0.0000) (multiplicity 1)

Top 12 peaks for 2θ = 10–90°, sorted by position:
d = 6.876 Å, rel. 63.5
d = 4.862 Å, rel. 24.9
d = 3.970 Å, rel. 31.7
d = 3.438 Å, rel. 100.0
d = 3.075 Å, rel. 39.0
d = 2.431 Å, rel. 79.0
d = 2.292 Å, rel. 22.1
d = 2.073 Å, rel. 15.3
d = 1.985 Å, rel. 28.8
d = 1.537 Å, rel. 38.4
d = 1.404 Å, rel. 28.5
d = 1.146 Å, rel. 19.2

No. 6
Diffraction record for H2Pt2Au. The XRD peak list is calculated, not measured: it uses a PBE-relaxed structure and Cu Kα, 1.54184 Å.
Neutral-atom scattering factors, no anomalous dispersion.

Crystal structure
Cell lengths 3.2621, 3.2621, 10.5865 Å; angles 90.00, 90.00, 90.00 degrees
Space group I4/mmm (No. 139)
Unique sites:
H (0.0000, 0.5000, 0.2500) (multiplicity 4)
Pt (0.0000, 0.0000, 0.1557) (multiplicity 4)
Au (0.0000, 0.0000, 0.5000) (multiplicity 2)

Top 12 peaks for 2θ = 10–90°, sorted by position:
d = 5.293 Å, rel. 1.2
d = 2.395 Å, rel. 100.0
d = 2.307 Å, rel. 45.8
d = 1.776 Å, rel. 2.1
d = 1.764 Å, rel. 9.2
d = 1.631 Å, rel. 16.2
d = 1.401 Å, rel. 17.5
d = 1.348 Å, rel. 33.4
d = 1.198 Å, rel. 10.6
d = 1.153 Å, rel. 5.4
d = 1.148 Å, rel. 1.4
d = 1.107 Å, rel. 7.5

No. 7
Diffraction record for Ta5Nb2Rh. The XRD peak list is calculated, not measured: it uses a PBE-relaxed structure and Cu Kα, 1.54184 Å.
Neutral-atom scattering factors, no anomalous dispersion.

Crystal structure
Cell lengths 5.5959, 4.6602, 10.9543 Å; angles 90.00, 95.22, 90.00 degrees
Space group P2/m (No. 10)
Unique sites:
Ta (0.0000, 0.0000, 0.0000) (multiplicity 1)
Ta (0.1254, 0.0000, 0.2559) (multiplicity 2)
Ta (0.1932, 0.5000, 0.6178) (multiplicity 2)
Ta (0.3701, 0.5000, 0.1240) (multiplicity 2)
Ta (0.3747, 0.0000, 0.7516) (multiplicity 2)
Ta (0.5000, 0.0000, 0.5000) (multiplicity 1)
Nb (0.1264, 0.5000, 0.8729) (multiplicity 2)
Nb (0.3072, 0.5000, 0.3767) (multiplicity 2)
Rh (0.0000, 0.0000, 0.5000) (multiplicity 1)
Rh (0.5000, 0.0000, 0.0000) (multiplicity 1)

Top 12 peaks for 2θ = 10–90°, sorted by position:
d = 2.392 Å, rel. 24.1
d = 2.375 Å, rel. 20.7
d = 2.354 Å, rel. 100.0
d = 2.330 Å, rel. 49.0
d = 2.316 Å, rel. 22.3
d = 2.299 Å, rel. 44.3
d = 2.256 Å, rel. 9.3
d = 1.643 Å, rel. 15.6
d = 1.355 Å, rel. 11.4
d = 1.350 Å, rel. 17.2
d = 1.323 Å, rel. 9.0
d = 1.177 Å, rel. 10.9

No. 8
Diffraction record for LaAl2ZnCu4. The XRD peak list is calculated, not measured: it uses a PBE-relaxed structure and Cu Kα, 1.54184 Å.
Neutral-atom scattering factors, no anomalous dispersion.

Crystal structure
Cell lengths 4.1901, 4.1901, 26.3482 Å; angles 90.00, 90.00, 120.00 degrees
Space group R-3m (No. 166, hexagonal axes)
Unique sites:
La (0.0000, 0.0000, 0.0000) (multiplicity 3)
Al (0.0000, 0.0000, 0.2379) (multiplicity 6)
Zn (0.0000, 0.0000, 0.5000) (multiplicity 3)
Cu (0.0000, 0.0000, 0.1344) (multiplicity 6)
Cu (0.0000, 0.0000, 0.4071) (multiplicity 6)

Top 12 peaks for 2θ = 10–90°, sorted by position:
d = 3.498 Å, rel. 52.7
d = 2.989 Å, rel. 23.0
d = 2.612 Å, rel. 40.7
d = 2.439 Å, rel. 74.2
d = 2.132 Å, rel. 17.2
d = 2.095 Å, rel. 100.0
d = 1.999 Å, rel. 18.2
d = 1.589 Å, rel. 19.0
d = 1.516 Å, rel. 13.9
d = 1.346 Å, rel. 10.4
d = 1.266 Å, rel. 17.2
d = 1.210 Å, rel. 15.3

No. 9
Diffraction record for Tm7Ag2Ir2. The XRD peak list is calculated, not measured: it uses a PBE-relaxed structure and Cu Kα, 1.54184 Å.
Neutral-atom scattering factors, no anomalous dispersion.

Crystal structure
Cell lengths 8.0219, 10.5767, 6.9653 Å; angles 90.00, 90.00, 90.00 degrees
Space group Cmmm (No. 65)
Unique sites:
Tm (0.0000, 0.0000, 0.0000) (multiplicity 2)
Tm (0.0000, 0.5000, 0.2469) (multiplicity 4)
Tm (0.2500, 0.2500, 0.2535) (multiplicity 8)
Ag (0.1832, 0.0000, 0.5000) (multiplicity 4)
Ir (0.0000, 0.2854, 0.0000) (multiplicity 4)

Top 12 peaks for 2θ = 10–90°, sorted by position:
d = 6.965 Å, rel. 18.9
d = 4.212 Å, rel. 18.4
d = 3.476 Å, rel. 43.5
d = 3.196 Å, rel. 30.2
d = 3.058 Å, rel. 30.4
d = 2.644 Å, rel. 52.5
d = 2.630 Å, rel. 20.5
d = 2.367 Å, rel. 39.4
d = 2.355 Å, rel. 100.0
d = 2.006 Å, rel. 27.7
d = 1.598 Å, rel. 20.8
d = 1.454 Å, rel. 21.5

No. 10
Diffraction record for Al2ZnAgAu4. The XRD peak list is calculated, not measured: it uses a PBE-relaxed structure and Cu Kα, 1.54184 Å.
Neutral-atom scattering factors, no anomalous dispersion.

Crystal structure
Cell lengths 4.5380, 4.5380, 22.6091 Å; angles 90.00, 90.00, 120.00 degrees
Space group R-3m (No. 166, hexagonal axes)
Unique sites:
Al (0.0000, 0.0000, 0.2457) (multiplicity 6)
Zn (0.0000, 0.0000, 0.0000) (multiplicity 3)
Ag (0.0000, 0.0000, 0.5000) (multiplicity 3)
Au (0.0000, 0.0000, 0.1178) (multiplicity 6)
Au (0.0000, 0.0000, 0.3697) (multiplicity 6)

Top 12 peaks for 2θ = 10–90°, sorted by position:
d = 3.227 Å, rel. 70.9
d = 2.294 Å, rel. 95.2
d = 2.269 Å, rel. 100.0
d = 1.856 Å, rel. 15.7
d = 1.613 Å, rel. 31.9
d = 1.450 Å, rel. 10.8
d = 1.437 Å, rel. 14.1
d = 1.330 Å, rel. 12.9
d = 1.315 Å, rel. 32.4
d = 1.310 Å, rel. 17.4
d = 1.147 Å, rel. 8.3
d = 1.135 Å, rel. 11.4

No. 11
Diffraction record for ZrBi2F11. The XRD peak list is calculated, not measured: it uses a PBE-relaxed structure and Cu Kα, 1.54184 Å.
Neutral-atom scattering factors, no anomalous dispersion.

Crystal structure
Cell lengths 8.2494, 10.3150, 10.6943 Å; angles 90.00, 90.00, 90.00 degrees
Space group Ibam (No. 72)
Unique sites:
Zr (0.0000, 0.0000, 0.2500) (multiplicity 4)
Bi (0.1457, 0.3161, 0.0000) (multiplicity 8)
F (0.0000, 0.5000, 0.0000) (multiplicity 4)
F (0.0948, 0.1714, 0.1515) (multiplicity 16)
F (0.1285, 0.2864, 0.5000) (multiplicity 8)
F (0.1953, 0.0638, 0.3627) (multiplicity 16)

Top 12 peaks for 2θ = 10–90°, sorted by position:
d = 5.347 Å, rel. 58.6
d = 4.115 Å, rel. 65.3
d = 4.048 Å, rel. 63.3
d = 3.712 Å, rel. 64.7
d = 3.606 Å, rel. 100.0
d = 3.174 Å, rel. 22.0
d = 2.763 Å, rel. 19.9
d = 2.609 Å, rel. 28.1
d = 2.045 Å, rel. 24.1
d = 2.025 Å, rel. 28.5
d = 1.993 Å, rel. 39.8
d = 1.923 Å, rel. 21.8

No. 12
Diffraction record for Sm2Ho2ErSc2. The XRD peak list is calculated, not measured: it uses a PBE-relaxed structure and Cu Kα, 1.54184 Å.
Neutral-atom scattering factors, no anomalous dispersion.

Crystal structure
Cell lengths 11.3315, 3.4201, 11.5404 Å; angles 90.00, 108.89, 90.00 degrees
Space group C2/m (No. 12)
Unique sites:
Sm (0.1712, 0.0000, 0.0891) (multiplicity 4)
Ho (0.0466, 0.0000, 0.7666) (multiplicity 4)
Er (0.0000, 0.5000, 0.5000) (multiplicity 2)
Sc (0.2284, 0.5000, 0.3690) (multiplicity 4)

Top 12 peaks for 2θ = 10–90°, sorted by position:
d = 5.579 Å, rel. 22.1
d = 3.258 Å, rel. 16.1
d = 3.210 Å, rel. 19.1
d = 3.041 Å, rel. 21.1
d = 2.828 Å, rel. 100.0
d = 2.684 Å, rel. 68.0
d = 2.640 Å, rel. 32.4
d = 2.468 Å, rel. 48.0
d = 2.297 Å, rel. 15.7
d = 1.717 Å, rel. 24.6
d = 1.660 Å, rel. 19.2
d = 1.463 Å, rel. 27.5